(1)
# Na2MgCdSn2Pd2
Theoretical powder diffractogram, Cu Ka. Input: a DFT-relaxed cell (PBE, OQMD).
Lines closer than 0.1° are merged.

Most intense lines, 2θ from 10° to 90°, by intensity:
d/Å  2theta  intensity
2.402  37.43  100
1.387  67.53  34
3.923  22.67  22
1.699  53.98  17
2.049  44.21  11
1.201  79.85  11
1.559  59.28  5
3.398  26.23  4

Crystal structure
Lattice parameters (Å, degrees): 4.8044 4.8044 6.7962 90.00 90.00 90.00
Positions (direct):
Na  0.0000  0.5000  0.2477
Na  0.5000  0.0000  0.7523
Mg  0.0000  0.0000  0.5000
Cd  0.5000  0.5000  0.0000
Sn  0.0000  0.0000  0.0000
Sn  0.5000  0.5000  0.5000
Pd  0.0000  0.5000  0.7387
Pd  0.5000  0.0000  0.2613

=====

(2)
# Cu2GeTeS2
Theoretical powder diffractogram, Cu Ka. Input: a DFT-relaxed cell (PBE, OQMD).
Lines closer than 0.1° are merged.

Most intense lines, 2θ from 10° to 90°, by intensity:
d/Å  2theta  intensity
3.232  27.60  100
3.172  28.14  86
1.965  46.20  78
1.679  54.66  35
2.820  31.73  29
1.979  45.84  24
1.654  55.58  23
1.925  47.23  19

Crystal structure
Lattice parameters (Å, degrees): 6.7146 6.7146 6.7146 145.71 61.40 130.73
Positions (direct):
Cu  0.1841  0.0000  0.1841
Cu  0.8159  0.0000  0.8159
Ge  0.5863  0.0863  0.5000
Te  0.2714  0.2714  0.0000
S  0.6134  0.2846  0.3288
S  0.9558  0.2846  0.6712

=====

(3)
# LaPrP2Os2Se2
Theoretical powder diffractogram, Cu Ka. Input: a DFT-relaxed cell (PBE, OQMD).
Lines closer than 0.1° are merged.

Most intense lines, 2θ from 10° to 90°, by intensity:
d/Å  2theta  intensity
2.503  35.88  100
2.066  43.83  34
3.801  23.40  25
1.262  75.34  23
1.573  58.71  20
2.425  37.07  19
2.547  35.24  16
1.415  66.04  16

Crystal structure
Lattice parameters (Å, degrees): 4.1315 4.1315 9.7018 90.00 90.00 90.00
Positions (direct):
La  0.0000  0.0000  0.0000
Pr  0.5000  0.5000  0.5310
P  0.0000  0.0000  0.3887
P  0.5000  0.5000  0.1437
Os  0.0000  0.5000  0.2665
Os  0.5000  0.0000  0.2665
Se  0.0000  0.5000  0.7629
Se  0.5000  0.0000  0.7629